# AcCrAsO6
Theoretical PXRD pattern, Cu Kα, 1.54184 Å. Input: DFT lattice parameters and positions (GGA+U).
Kinematic intensities with the Lorentz-polarization factor, no thermal factor.

Peak list (10 most intense, 2θ from 10° to 90°, in order of falling intensity)
d (Å)	2θ/deg	I (rel.)	(hkl)
3.406	26.16	100	1 0 1
1.847	49.34	31	2 -1 2
2.541	35.32	25	1 1 0
1.589	58.03	22	3 -1 1
2.037	44.48	21	2 0 1
4.402	20.17	20	1 0 0
2.296	39.24	18	1 1 1
1.660	55.34	11	1 0 3
1.191	80.71	9	3 1 1
1.219	78.43	9	2 1 3

Structure:
a = 5.0826 Å, b = 5.0826 Å, c = 5.3775 Å
α = 90.00°, β = 90.00°, γ = 120.00°
Sites, in units of the cell vectors:
Ac 0.0000 0.0000 0.0000
Cr 0.3333 0.6667 0.5000
As 0.6667 0.3333 0.5000
O 0.3919 0.0126 0.6997
O 0.3919 0.3793 0.3003
O 0.6207 0.0126 0.3003
O 0.6207 0.6081 0.6997
O 0.9874 0.3793 0.6997
O 0.9874 0.6081 0.3003